Entry 1:
Th2Bi2N: simulated powder X-ray diffraction pattern (CuKα), based on a DFT-relaxed cell (PBE, Alexandria).
Kinematic intensities with the Lorentz-polarization factor, no thermal factor.

Peak list (6 most intense, 5 to 70 degrees two-theta, in order of rising 2θ)
2θ 27.56, intensity 73.5, (0 4 0); 2θ 28.37, intensity 81.9, (1 1 1); 2θ 29.20, intensity 100.0, (2 0 -2); 2θ 30.95, intensity 64.9, (3 1 -1); 2θ 33.15, intensity 51.3, (0 4 1); 2θ 40.58, intensity 53.7, (2 4 -2)

Structure:
Unit cell a=8.983 b=12.946 c=6.150 alpha=90.00 beta=127.02 gamma=90.00
Space group C2/c (No. 15)
Unique sites:
Th (0.185, 0.095, 0.169) [8 per cell]
Bi (0.148, 0.351, 0.177) [8 per cell]
N (0.000, 0.001, 0.250) [4 per cell]



Entry 2:
TmThBi2N: simulated powder X-ray diffraction pattern (CuKα), based on a DFT-relaxed cell (PBE, Alexandria).
Kinematic intensities with the Lorentz-polarization factor, no thermal factor.

Peak list (6 most intense, 5 to 70 degrees two-theta, in order of rising 2θ)
2θ 27.65, intensity 43.4, (1 0 3); 2θ 30.07, intensity 100.0, (1 1 0); 2θ 31.86, intensity 97.9, (1 0 4); 2θ 36.64, intensity 19.4, (1 0 5); 2θ 43.05, intensity 41.1, (2 0 0); 2θ 54.54, intensity 44.2, (2 1 4)

Structure:
Unit cell a=4.203 b=4.203 c=15.104 alpha=90.00 beta=90.00 gamma=90.00
Space group P4/nmm (No. 129, origin choice 2)
Unique sites:
Tm (0.250, 0.250, 0.067) [2 per cell]
Th (0.250, 0.250, 0.573) [2 per cell]
Bi (0.250, 0.250, 0.276) [2 per cell]
Bi (0.250, 0.250, 0.858) [2 per cell]
N (0.250, 0.750, 0.500) [2 per cell]



Entry 3:
Ti5Bi3N: simulated powder X-ray diffraction pattern (CuKα), based on a DFT-relaxed cell (PBE, Alexandria).
Kinematic intensities with the Lorentz-polarization factor, no thermal factor.

Peak list (6 most intense, 5 to 70 degrees two-theta, in order of rising 2θ)
2θ 24.97, intensity 33.2, (2 0 0); 2θ 26.77, intensity 100.0, (1 1 1); 2θ 31.61, intensity 33.9, (0 0 2); 2θ 36.93, intensity 88.0, (2 1 1); 2θ 38.59, intensity 41.0, (1 1 2); 2θ 48.76, intensity 43.3, (3 1 1)

Structure:
Unit cell a=8.2367 b=8.2367 c=5.6615 alpha=90.00 beta=90.00 gamma=120.00
Space group P6_3/mcm (No. 193)
Unique sites:
Ti (0.0000, 0.1972, 0.2500) [6 per cell]
Ti (0.3333, 0.6667, 0.0000) [4 per cell]
Bi (0.0000, 0.4014, 0.7500) [6 per cell]
N (0.0000, 0.0000, 0.0000) [2 per cell]



Entry 4:
Ti8BiN2: simulated powder X-ray diffraction pattern (CuKα), based on a DFT-relaxed cell (PBE, Alexandria).
Kinematic intensities with the Lorentz-polarization factor, no thermal factor.

Peak list (6 most intense, 5 to 70 degrees two-theta, in order of rising 2θ)
2θ 17.57, intensity 33.2, (0 1 1); 2θ 25.96, intensity 24.4, (0 1 3); 2θ 37.24, intensity 55.8, (1 1 4); 2θ 38.91, intensity 100.0, (2 0 0); 2θ 39.19, intensity 23.2, (1 0 5); 2θ 42.96, intensity 26.3, (0 2 4)

Structure:
Unit cell a=4.628 b=5.460 c=13.242 alpha=90.00 beta=90.00 gamma=90.00
Space group Immm (No. 71)
Unique sites:
Ti (0.000, 0.000, 0.123) [4 per cell]
Ti (0.000, 0.239, 0.398) [8 per cell]
Ti (0.000, 0.500, 0.229) [4 per cell]
Bi (0.000, 0.500, 0.000) [2 per cell]
N (0.000, 0.000, 0.273) [4 per cell]



Entry 5:
Tl2BiN2: simulated powder X-ray diffraction pattern (CuKα), based on a DFT-relaxed cell (PBE, Alexandria).
Kinematic intensities with the Lorentz-polarization factor, no thermal factor.

Peak list (6 most intense, 5 to 70 degrees two-theta, in order of rising 2θ)
2θ 8.98, intensity 100.0, (0 0 1); 2θ 22.59, intensity 22.1, (1 1 -1); 2θ 22.82, intensity 18.5, (2 0 1); 2θ 27.51, intensity 39.7, (1 1 -2); 2θ 27.92, intensity 18.5, (2 0 2); 2θ 36.43, intensity 28.5, (0 2 0)

Structure:
Unit cell a=8.543 b=4.934 c=9.848 alpha=90.00 beta=91.12 gamma=90.00
Space group C2/m (No. 12)
Unique sites:
Tl (0.163, 0.000, 0.348) [4 per cell]
Bi (0.000, 0.500, 0.500) [2 per cell]
N (0.059, 0.500, 0.025) [4 per cell]



Entry 6:
TlBi4N2: simulated powder X-ray diffraction pattern (CuKα), based on a DFT-relaxed cell (PBE, Alexandria).
Kinematic intensities with the Lorentz-polarization factor, no thermal factor.

Peak list (6 most intense, 5 to 70 degrees two-theta, in order of rising 2θ)
2θ 8.69, intensity 60.7, (0 0 2); 2θ 27.68, intensity 40.4, (1 0 -2); 2θ 28.07, intensity 38.6, (1 0 2); 2θ 29.38, intensity 100.0, (0 1 3); 2θ 30.76, intensity 60.9, (0 0 7); 2θ 31.65, intensity 89.9, (0 1 4)

Structure:
Unit cell a=3.373 b=3.400 c=20.352 alpha=90.00 beta=91.31 gamma=90.00
Space group P2/m (No. 10)
Unique sites:
Tl (0.000, 0.000, 0.000) [1 per cell]
Bi (0.463, 0.000, 0.723) [2 per cell]
Bi (0.483, 0.500, 0.859) [2 per cell]
N (0.014, 0.500, 0.527) [2 per cell]



Entry 7:
TlBi2N: simulated powder X-ray diffraction pattern (CuKα), based on a DFT-relaxed cell (PBE, Alexandria).
Kinematic intensities with the Lorentz-polarization factor, no thermal factor.

Peak list (6 most intense, 5 to 70 degrees two-theta, in order of rising 2θ)
2θ 27.86, intensity 67.4, (1 1 2); 2θ 28.87, intensity 53.1, (1 -1 0); 2θ 29.99, intensity 100.0, (1 0 -2); 2θ 30.20, intensity 49.8, (1 2 0); 2θ 32.68, intensity 47.3, (2 1 0); 2θ 38.54, intensity 26.3, (0 2 2)

Structure:
Unit cell a=5.509 b=6.034 c=7.719 alpha=82.24 beta=84.71 gamma=65.02
Space group P1 (No. 1)
Unique sites:
Tl (0.000, 0.000, 0.000) [1 per cell]
Tl (0.313, 0.401, 0.133) [1 per cell]
Bi (0.277, 0.422, 0.633) [1 per cell]
Bi (0.559, 0.848, 0.755) [1 per cell]
Bi (0.622, 0.759, 0.349) [1 per cell]
Bi (0.975, 0.119, 0.494) [1 per cell]
N (0.232, 0.037, 0.249) [1 per cell]
N (0.559, 0.407, 0.393) [1 per cell]



Entry 8:
TlBi2N: simulated powder X-ray diffraction pattern (CuKα), based on a DFT-relaxed cell (PBE, Alexandria).
Kinematic intensities with the Lorentz-polarization factor, no thermal factor.

Peak list (6 most intense, 5 to 70 degrees two-theta, in order of rising 2θ)
2θ 29.09, intensity 51.5, (2 0 0); 2θ 29.70, intensity 100.0, (1 3 -1); 2θ 30.15, intensity 49.3, (0 0 2); 2θ 31.70, intensity 39.2, (2 0 -2); 2θ 35.66, intensity 57.8, (1 3 1); 2θ 49.13, intensity 30.2, (1 3 -3)

Structure:
Unit cell a=6.797 b=10.666 c=6.565 alpha=90.00 beta=115.44 gamma=90.00
Space group C2 (No. 5)
Unique sites:
Tl (0.224, 0.000, 0.239) [4 per cell]
Bi (0.211, 0.349, 0.241) [4 per cell]
Bi (0.239, 0.672, 0.246) [4 per cell]
N (0.129, 0.689, 0.870) [4 per cell]



Entry 9:
TmUBiN2: simulated powder X-ray diffraction pattern (CuKα), based on a DFT-relaxed cell (PBE, Alexandria).
Kinematic intensities with the Lorentz-polarization factor, no thermal factor.

Peak list (6 most intense, 5 to 70 degrees two-theta, in order of rising 2θ)
2θ 31.23, intensity 100.0, (1 0 3); 2θ 32.28, intensity 41.8, (1 1 0); 2θ 46.29, intensity 18.6, (2 0 0); 2θ 54.91, intensity 22.4, (1 1 6); 2θ 56.90, intensity 37.9, (2 1 3); 2θ 65.14, intensity 12.0, (2 0 6)

Structure:
Unit cell a=3.922 b=3.922 c=12.576 alpha=90.00 beta=90.00 gamma=90.00
Space group I4mm (No. 107)
Unique sites:
Tm (0.000, 0.000, 0.000) [2 per cell]
U (0.000, 0.000, 0.335) [2 per cell]
Bi (0.000, 0.000, 0.669) [2 per cell]
N (0.000, 0.500, 0.408) [4 per cell]



Entry 10:
UBiN: simulated powder X-ray diffraction pattern (CuKα), based on a DFT-relaxed cell (PBE, Alexandria).
Kinematic intensities with the Lorentz-polarization factor, no thermal factor.

Peak list (6 most intense, 5 to 70 degrees two-theta, in order of rising 2θ)
2θ 31.99, intensity 48.7, (1 1 0); 2θ 32.19, intensity 100.0, (1 0 2); 2θ 45.87, intensity 20.8, (2 0 0); 2θ 57.14, intensity 40.8, (2 1 2); 2θ 57.52, intensity 19.5, (1 1 4); 2θ 67.35, intensity 11.3, (2 0 4)

Structure:
Unit cell a=3.957 b=3.957 c=7.818 alpha=90.00 beta=90.00 gamma=90.00
Space group P4/nmm (No. 129, origin choice 2)
Unique sites:
U (0.250, 0.250, 0.141) [2 per cell]
Bi (0.250, 0.250, 0.619) [2 per cell]
N (0.250, 0.750, 0.000) [2 per cell]



Entry 11:
ZrBiWN2: simulated powder X-ray diffraction pattern (CuKα), based on a DFT-relaxed cell (PBE, Alexandria).
Kinematic intensities with the Lorentz-polarization factor, no thermal factor.

Peak list (6 most intense, 5 to 70 degrees two-theta, in order of rising 2θ)
2θ 22.05, intensity 98.8, (1 0 0); 2θ 31.38, intensity 100.0, (1 1 0); 2θ 31.59, intensity 62.2, (0 0 2); 2θ 38.86, intensity 48.2, (1 0 2); 2θ 45.13, intensity 75.7, (1 1 2); 2θ 56.00, intensity 48.6, (2 0 2)

Structure:
Unit cell a=4.031 b=4.031 c=5.664 alpha=90.00 beta=90.00 gamma=90.00
Space group P4/mmm (No. 123)
Unique sites:
Zr (0.000, 0.000, 0.000) [1 per cell]
Bi (0.500, 0.500, 0.000) [1 per cell]
W (0.500, 0.500, 0.500) [1 per cell]
N (0.000, 0.500, 0.500) [2 per cell]



Entry 12:
NaBi6: simulated powder X-ray diffraction pattern (CuKα), based on a DFT-relaxed cell (PBE, Alexandria).
Kinematic intensities with the Lorentz-polarization factor, no thermal factor.

Peak list (6 most intense, 5 to 70 degrees two-theta, in order of rising 2θ)
2θ 14.11, intensity 100.0, (1 1 0); 2θ 24.57, intensity 72.7, (2 1 1); 2θ 31.88, intensity 30.0, (3 1 0); 2θ 35.02, intensity 76.6, (2 2 2); 2θ 37.93, intensity 48.2, (3 2 1); 2θ 40.66, intensity 41.6, (4 0 0)

Structure:
Unit cell a=8.876 b=8.876 c=8.876 alpha=90.00 beta=90.00 gamma=90.00
Space group Im-3m (No. 229)
Unique sites:
Na (0.000, 0.000, 0.000) [2 per cell]
Bi (0.000, 0.250, 0.500) [12 per cell]



Entry 13:
NaBi: simulated powder X-ray diffraction pattern (CuKα), based on a DFT-relaxed cell (PBE, Alexandria).
Kinematic intensities with the Lorentz-polarization factor, no thermal factor.

Peak list (6 most intense, 5 to 70 degrees two-theta, in order of rising 2θ)
2θ 17.95, intensity 59.6, (0 0 1); 2θ 25.94, intensity 50.8, (1 0 0); 2θ 31.73, intensity 100.0, (1 0 1); 2θ 37.01, intensity 33.3, (1 1 0); 2θ 41.43, intensity 30.7, (1 1 1); 2θ 63.41, intensity 28.3, (2 1 1)

Structure:
Unit cell a=3.435 b=3.435 c=4.941 alpha=90.00 beta=90.00 gamma=90.00
Space group P4/mmm (No. 123)
Unique sites:
Na (0.000, 0.000, 0.000) [1 per cell]
Bi (0.500, 0.500, 0.500) [1 per cell]



Entry 14:
Na5Bi2: simulated powder X-ray diffraction pattern (CuKα), based on a DFT-relaxed cell (PBE, Alexandria).
Kinematic intensities with the Lorentz-polarization factor, no thermal factor.

Peak list (6 most intense, 5 to 70 degrees two-theta, in order of rising 2θ)
2θ 20.45, intensity 100.0, (1 2 1); 2θ 31.66, intensity 29.0, (2 4 0); 2θ 34.06, intensity 25.0, (2 0 2); 2θ 35.30, intensity 23.7, (0 4 2); 2θ 36.82, intensity 29.0, (3 2 1); 2θ 39.11, intensity 24.0, (1 6 1)

Structure:
Unit cell a=8.347 b=15.367 c=6.785 alpha=90.00 beta=90.00 gamma=90.00
Space group Ibam (No. 72)
Unique sites:
Na (0.000, 0.000, 0.250) [4 per cell]
Na (0.000, 0.236, 0.250) [8 per cell]
Na (0.148, 0.418, 0.000) [8 per cell]
Bi (0.239, 0.375, 0.500) [8 per cell]